No. 1
ZrUTcNi: computed X-ray diffraction stick pattern (Cu Kα X-rays), based on a cell relaxed with GGA-PBE.
Kinematic intensities with the Lorentz-polarization factor, no thermal factor.

Principal peaks in the range 5 to 70 degrees two-theta, by angle:
two_theta  Rel. int.
23.3  19
27.0  12
38.5  100
45.5  11
47.7  4
55.6  17
61.1  5
62.9  5
69.7  35

Atomic structure:
```
16
Lattice="6.607 0.000 0.000 0.000 6.607 0.000 0.000 0.000 6.607" Properties=species:S:1:pos:R:3 pbc="T T T"
Zr 0.000 0.000 0.000
Zr 0.000 3.304 3.304
Zr 3.304 0.000 3.304
Zr 3.304 3.304 0.000
U 0.000 0.000 3.304
U 0.000 3.304 0.000
U 3.304 0.000 0.000
U 3.304 3.304 3.304
Tc 1.652 1.652 4.956
Tc 1.652 4.956 1.652
Tc 4.956 1.652 1.652
Tc 4.956 4.956 4.956
Ni 1.652 1.652 1.652
Ni 1.652 4.956 4.956
Ni 4.956 1.652 4.956
Ni 4.956 4.956 1.652
```

---

No. 2
Cs4K2AgAu2: computed X-ray diffraction stick pattern (Cu Kα X-rays), based on a cell relaxed with GGA-PBE.
Kinematic intensities with the Lorentz-polarization factor, no thermal factor.

Principal peaks in the range 5 to 70 degrees two-theta, by angle:
two_theta  Rel. int.
8.8  89
12.1  26
17.7  29
22.3  65
26.7  28
27.4  100
29.0  60
33.1  27
33.5  35
35.3  53

Atomic structure:
```
9
Lattice="7.913 -3.078 0.000 7.913 3.078 0.000 -4.178 0.000 10.009" Properties=species:S:1:pos:R:3 pbc="T T T"
Cs -0.175 0.000 2.196
Cs 0.214 0.000 8.491
Cs 11.434 0.000 1.517
Cs 11.824 0.000 7.812
K 3.900 0.000 4.865
K 7.748 0.000 5.143
Ag 7.913 0.000 0.000
Au 5.784 0.000 1.959
Au 5.864 0.000 8.049
```

---

No. 3
NdSbPb2: computed X-ray diffraction stick pattern (Cu Kα X-rays), based on a cell relaxed with GGA-PBE.
Kinematic intensities with the Lorentz-polarization factor, no thermal factor.

Principal peaks in the range 5 to 70 degrees two-theta, by angle:
two_theta  Rel. int.
16.5  5
26.8  3
31.7  100
33.4  22
38.3  30
51.7  26
55.3  11
58.6  18
65.1  26
66.1  12

Atomic structure:
```
4
Lattice="4.702 0.000 0.000 0.000 4.702 0.000 0.000 0.000 5.362" Properties=species:S:1:pos:R:3 pbc="T T T"
Nd 0.000 0.000 0.000
Sb 2.351 2.351 0.000
Pb 0.000 2.351 2.681
Pb 2.351 0.000 2.681
```

---

No. 4
CsTlHgSb2: computed X-ray diffraction stick pattern (Cu Kα X-rays), based on a cell relaxed with GGA-PBE.
Kinematic intensities with the Lorentz-polarization factor, no thermal factor.

Principal peaks in the range 5 to 70 degrees two-theta, by angle:
two_theta  Rel. int.
22.8  20
26.9  34
28.5  100
31.3  46
32.1  38
34.6  53
41.7  22
42.7  21
53.9  37
56.2  23

Atomic structure:
```
10
Lattice="4.234 0.000 0.000 0.000 5.723 0.000 0.000 0.000 15.967" Properties=species:S:1:pos:R:3 pbc="T T T"
Cs 0.000 0.000 0.000
Cs 2.117 2.862 7.984
Tl 0.000 2.862 11.735
Tl 2.117 0.000 3.752
Hg 0.000 0.000 6.294
Hg 2.117 2.862 14.278
Sb 0.000 0.000 9.975
Sb 0.000 2.862 4.001
Sb 2.117 0.000 11.985
Sb 2.117 2.862 1.991
```